Computed PXRD pattern
Compound: Pm2NdDy12
Radiation: a wavelength of 1.5418 Å
Structure: a GGA-PBE-relaxed structure
No peak broadening, texture or thermal motion is included.

Structural model:
a b c (Å): 7.105 11.224 24.498
angles (deg): 90.00 94.15 90.00
Space group C2/m (No. 12)
Symmetry-distinct sites (fractional):
Pm 0.067 0.000 0.273 [4 per cell]
Pm 0.068 0.500 0.273 [4 per cell]
Nd 0.250 0.000 0.000 [4 per cell]
Dy 0.018 0.250 0.075 [8 per cell]
Dy 0.112 0.250 0.445 [8 per cell]
Dy 0.142 0.000 0.572 [4 per cell]
Dy 0.143 0.500 0.572 [4 per cell]
Dy 0.168 0.250 0.669 [8 per cell]
Dy 0.201 0.250 0.799 [8 per cell]
Dy 0.217 0.000 0.863 [4 per cell]
Dy 0.217 0.500 0.863 [4 per cell]

Top 12 peaks for 10° ≤ 2θ ≤ 90°, in order of rising 2θ:
2θ (°)  I/Imax  (hkl)
30.15  94.7  0 2 7
30.28  51.3  2 2 1
31.17  63.8  2 2 2
31.89  100.0  0 4 0
32.27  51.3  2 0 -6
32.47  95.7  2 2 -4
33.40  48.1  0 2 8
46.00  38.5  2 4 -6
55.78  26.4  0 6 7
59.65  34.0  2 2 13
60.80  28.6  4 2 -8
61.82  30.2  4 4 -1


Computed PXRD pattern
Compound: PmNd7Dy3
Radiation: a wavelength of 1.5418 Å
Structure: a GGA-PBE-relaxed structure
No peak broadening, texture or thermal motion is included.

Structural model:
a b c (Å): 5.946 11.389 11.434
angles (deg): 90.00 90.00 90.00
Space group Immm (No. 71)
Symmetry-distinct sites (fractional):
Pm 0.000 0.000 0.000 [2 per cell]
Nd 0.000 0.196 0.293 [8 per cell]
Nd 0.000 0.291 0.000 [4 per cell]
Nd 0.000 0.500 0.500 [2 per cell]
Dy 0.000 0.000 0.500 [2 per cell]
Dy 0.000 0.500 0.203 [4 per cell]

Top 12 peaks for 10° ≤ 2θ ≤ 90°, in order of rising 2θ:
2θ (°)  I/Imax  (hkl)
22.97  8.3  1 2 1
24.66  15.8  0 1 3
27.86  10.1  1 3 0
30.06  38.1  2 0 0
31.29  16.4  0 0 4
31.42  13.8  0 4 0
32.04  100.0  1 3 2
39.26  9.3  2 1 3
43.98  23.8  2 0 4
54.64  22.0  3 3 2
61.04  9.5  1 2 7
61.25  8.4  1 7 2


Computed PXRD pattern
Compound: Pm5NdDy3
Radiation: a wavelength of 1.5418 Å
Structure: a GGA-PBE-relaxed structure
No peak broadening, texture or thermal motion is included.

Structural model:
a b c (Å): 16.473 6.796 11.620
angles (deg): 90.00 109.93 90.00
Space group C2/c (No. 15)
Symmetry-distinct sites (fractional):
Pm 0.000 0.185 0.250 [4 per cell]
Pm 0.111 0.003 0.551 [8 per cell]
Pm 0.172 0.406 0.350 [8 per cell]
Nd 0.000 0.260 0.750 [4 per cell]
Dy 0.000 0.500 0.000 [4 per cell]
Dy 0.240 0.102 0.871 [8 per cell]

Top 12 peaks for 10° ≤ 2θ ≤ 90°, in order of rising 2θ:
2θ (°)  I/Imax  (hkl)
28.72  10.0  2 2 -1
30.56  37.4  3 1 2
30.82  100.0  2 0 -4
30.97  44.5  2 2 1
31.07  17.5  2 2 -2
31.75  12.3  5 1 0
32.59  14.2  4 0 2
32.94  10.8  6 0 -2
35.11  11.0  2 2 2
35.28  14.0  4 2 -2
38.23  11.2  4 2 -3
54.99  17.3  7 1 -6


Computed PXRD pattern
Compound: PmNd6Dy
Radiation: a wavelength of 1.5418 Å
Structure: a GGA-PBE-relaxed structure
No peak broadening, texture or thermal motion is included.

Structural model:
a b c (Å): 7.342 10.334 14.643
angles (deg): 90.00 90.00 90.00
Space group Fmmm (No. 69)
Symmetry-distinct sites (fractional):
Pm 0.000 0.000 0.000 [4 per cell]
Nd 0.000 0.000 0.250 [8 per cell]
Nd 0.250 0.250 0.124 [16 per cell]
Dy 0.000 0.000 0.500 [4 per cell]

Top 12 peaks for 10° ≤ 2θ ≤ 90°, in order of rising 2θ:
2θ (°)  I/Imax  (hkl)
29.88  100.0  2 2 0
34.60  33.9  2 0 4
34.72  16.8  0 4 0
49.67  6.1  4 0 0
49.83  30.2  2 4 4
59.07  14.5  4 2 4
59.20  21.6  2 6 0
59.30  7.2  0 6 4
62.02  6.3  4 4 0
62.15  6.2  0 4 8
80.96  14.7  4 6 4
83.45  8.2  4 4 8